# 1
Calculated XRD peak list of Na2TiIr2S6 for copper Kα, from a crystal structure in Alexandria, relaxed with GGA-PBE.

Atomic structure:
```
data_Na2TiIr2S6
_chemical_formula_sum 'Na2 Ti1 Ir2 S6'
_cell_length_a 6.1572
_cell_length_b 6.1572
_cell_length_c 6.9973
_cell_angle_alpha 98.42
_cell_angle_beta 98.42
_cell_angle_gamma 120.20
_symmetry_space_group_name_H-M 'P 1'
_symmetry_Int_Tables_number 1
_symmetry_space_group_name_Hall 'P 1'
loop_
_atom_site_label
_atom_site_type_symbol
_atom_site_fract_x
_atom_site_fract_y
_atom_site_fract_z
Na1 Na 0.1652 0.8348 0.0000
Na2 Na 0.8348 0.1652 0.0000
Ti1 Ti 0.0000 0.0000 0.5000
Ir1 Ir 0.3330 0.6670 0.5000
Ir2 Ir 0.6670 0.3330 0.5000
S1 S 0.0641 0.4078 0.6941
S2 S 0.2765 0.2765 0.3057
S3 S 0.4078 0.0641 0.6941
S4 S 0.5922 0.9359 0.3059
S5 S 0.7235 0.7235 0.6943
S6 S 0.9359 0.5922 0.3059
```

Peak list (6 most intense, 2θ from 10° to 90°, by angle)
two_theta	I (rel.)
13.24	100
29.38	28
34.20	64
43.14	21
46.70	14
51.52	14


# 2
Calculated XRD peak list of NaV2IrS8 for copper Kα, from a crystal structure in Alexandria, relaxed with GGA-PBE.

Atomic structure:
```
data_NaV2IrS8
_chemical_formula_sum 'Na1 V2 Ir1 S8'
_cell_length_a 8.4600
_cell_length_b 8.4600
_cell_length_c 8.4600
_cell_angle_alpha 42.85
_cell_angle_beta 42.85
_cell_angle_gamma 42.85
_symmetry_space_group_name_H-M 'P 1'
_symmetry_Int_Tables_number 1
_symmetry_space_group_name_Hall 'P 1'
loop_
_atom_site_label
_atom_site_type_symbol
_atom_site_fract_x
_atom_site_fract_y
_atom_site_fract_z
Na1 Na 0.0000 0.0000 0.0000
V1 V 0.2463 0.2463 0.2463
V2 V 0.7537 0.7537 0.7537
Ir1 Ir 0.5000 0.5000 0.5000
S1 S 0.1304 0.7589 0.4341
S2 S 0.2411 0.5659 0.8696
S3 S 0.3371 0.3371 0.3371
S4 S 0.4341 0.1304 0.7589
S5 S 0.5659 0.8696 0.2411
S6 S 0.6629 0.6629 0.6629
S7 S 0.7589 0.4341 0.1304
S8 S 0.8696 0.2411 0.5659
```

Peak list (6 most intense, 2θ from 10° to 90°, by angle)
two_theta	I (rel.)
11.54	66
17.01	100
22.69	85
28.89	50
37.37	47
51.20	39